Structure and calculated PXRD pattern of Rb2YAg2Se4 (a crystal structure in Alexandria, relaxed with GGA-PBE; Cu Kα (weighted mean of Kα1 and Kα2)).

Principal peaks in the range 2θ from 10° to 90°, low angle first:
- hkl 0 0 1, d 7.883, intensity 100
- hkl 1 1 1, d 3.476, intensity 31
- hkl 3 1 -1, d 3.209, intensity 41
- hkl 1 1 -2, d 2.953, intensity 69
- hkl 3 1 -2, d 2.785, intensity 71
- hkl 3 1 1, d 2.775, intensity 70
- hkl 6 0 0, d 2.481, intensity 33
- hkl 3 1 2, d 2.268, intensity 33
- hkl 0 2 0, d 2.100, intensity 44
- hkl 3 1 3, d 1.853, intensity 39

Structure:
Cell lengths 15.713, 4.199, 8.321 Å; angles 90.00, 108.68, 90.00 degrees
Space group C2/m (No. 12)
One atom of each set of equivalent atoms:
1 Rb 0.131 0.000 0.064 [4 per cell]
2 Y 0.000 0.000 0.500 [2 per cell]
3 Ag 0.180 0.500 0.482 [4 per cell]
4 Se 0.012 0.500 0.267 [4 per cell]
5 Se 0.195 0.000 0.689 [4 per cell]

Structure and calculated PXRD pattern of RbSmAgTe2 (a crystal structure in Alexandria, relaxed with GGA-PBE; Cu Kα (weighted mean of Kα1 and Kα2)).

Principal peaks in the range 2θ from 10° to 90°, low angle first:
- hkl 1 0 0, d 8.546, intensity 100
- hkl 2 1 0, d 3.217, intensity 36
- hkl 2 0 -2, d 3.202, intensity 40
- hkl 1 1 -2, d 3.130, intensity 50
- hkl 1 1 2, d 3.020, intensity 73
- hkl 2 0 2, d 2.980, intensity 35
- hkl 2 1 -2, d 2.678, intensity 53
- hkl 2 1 2, d 2.544, intensity 50
- hkl 0 0 4, d 2.229, intensity 37
- hkl 3 1 -2, d 2.213, intensity 35

Structure:
Cell lengths 8.568, 4.888, 8.941 Å; angles 90.00, 94.11, 90.00 degrees
Space group P2/c (No. 13)
One atom of each set of equivalent atoms:
1 Rb 0.000 0.071 0.250 [2 per cell]
2 Sm 0.500 0.497 0.750 [2 per cell]
3 Ag 0.500 0.000 0.000 [2 per cell]
4 Te 0.256 0.397 0.984 [4 per cell]

Structure and calculated PXRD pattern of RbAg3Sn2 (a crystal structure in Alexandria, relaxed with GGA-PBE; Cu Kα (weighted mean of Kα1 and Kα2)).

Principal peaks in the range 2θ from 10° to 90°, low angle first:
- hkl 2 0 0, d 8.375, intensity 24
- hkl 0 0 1, d 7.631, intensity 100
- hkl 1 1 -2, d 3.125, intensity 25
- hkl 2 0 2, d 3.040, intensity 79
- hkl 5 1 -2, d 2.697, intensity 48
- hkl 0 2 0, d 2.418, intensity 58
- hkl 7 1 -1, d 2.292, intensity 46
- hkl 5 1 -3, d 2.284, intensity 47
- hkl 7 1 0, d 2.145, intensity 30
- hkl 2 2 2, d 1.892, intensity 40

Structure:
Cell lengths 18.306, 4.835, 8.339 Å; angles 90.00, 113.79, 90.00 degrees
Space group C2/m (No. 12)
One atom of each set of equivalent atoms:
1 Rb 0.166 0.000 0.087 [4 per cell]
2 Ag 0.008 0.000 0.680 [4 per cell]
3 Ag 0.087 0.500 0.648 [4 per cell]
4 Ag 0.198 0.500 0.456 [4 per cell]
5 Sn 0.032 0.500 0.203 [4 per cell]
6 Sn 0.156 0.000 0.586 [4 per cell]

Structure and calculated PXRD pattern of Rb4AgSn4 (a crystal structure in Alexandria, relaxed with GGA-PBE; Cu Kα (weighted mean of Kα1 and Kα2)).

Principal peaks in the range 2θ from 10° to 90°, low angle first:
- hkl 1 0 1, d 6.758, intensity 52
- hkl 1 1 0, d 5.202, intensity 51
- hkl 0 0 4, d 4.275, intensity 43
- hkl 2 1 1, d 3.231, intensity 100
- hkl 0 0 6, d 2.850, intensity 37
- hkl 2 0 4, d 2.788, intensity 17
- hkl 2 1 5, d 2.371, intensity 62
- hkl 3 1 2, d 2.245, intensity 15
- hkl 3 1 4, d 2.043, intensity 29
- hkl 2 1 9, d 1.645, intensity 23

Structure:
Cell lengths 7.356, 7.356, 17.101 Å; angles 90.00, 90.00, 90.00 degrees
Space group I-42m (No. 121)
One atom of each set of equivalent atoms:
1 Rb 0.175 0.175 0.140 [8 per cell]
2 Ag 0.000 0.000 0.500 [2 per cell]
3 Sn 0.135 0.135 0.358 [8 per cell]

Structure and calculated PXRD pattern of Rb2Ag7Sn12 (a crystal structure in Alexandria, relaxed with GGA-PBE; Cu Kα (weighted mean of Kα1 and Kα2)).

Principal peaks in the range 2θ from 10° to 90°, low angle first:
- hkl 1 1 0, d 5.869, intensity 14
- hkl 2 1 1, d 2.970, intensity 100
- hkl 3 0 1, d 2.745, intensity 14
- hkl 4 0 0, d 2.541, intensity 13
- hkl 4 -1 1, d 2.415, intensity 23
- hkl 0 0 2, d 2.341, intensity 25
- hkl 3 2 0, d 2.332, intensity 21
- hkl 0 4 1, d 2.233, intensity 30
- hkl 1 4 0, d 2.218, intensity 21
- hkl 5 3 1, d 1.387, intensity 15

Structure:
Cell lengths 11.7377, 11.7377, 4.6813 Å; angles 90.00, 90.00, 120.00 degrees
Space group P-3 (No. 147)
One atom of each set of equivalent atoms:
1 Rb 0.3333 0.6667 0.2487 [2 per cell]
2 Ag 0.0000 0.0000 0.5000 [1 per cell]
3 Ag 0.1024 0.6953 0.7480 [6 per cell]
4 Sn 0.0693 0.4336 0.7479 [6 per cell]
5 Sn 0.1271 0.2627 0.2484 [6 per cell]

Structure and calculated PXRD pattern of RbAg2Sn2 (a crystal structure in Alexandria, relaxed with GGA-PBE; Cu Kα (weighted mean of Kα1 and Kα2)).

Principal peaks in the range 2θ from 10° to 90°, low angle first:
- hkl 1 1 0, d 5.855, intensity 88
- hkl 0 2 1, d 3.319, intensity 100
- hkl 4 0 -2, d 3.106, intensity 51
- hkl 3 1 -3, d 2.837, intensity 83
- hkl 2 2 -3, d 2.347, intensity 65
- hkl 5 1 -2, d 2.327, intensity 32
- hkl 3 1 1, d 2.179, intensity 67
- hkl 3 3 0, d 1.952, intensity 28
- hkl 0 4 0, d 1.902, intensity 25
- hkl 3 3 1, d 1.693, intensity 28

Structure:
Cell lengths 12.423, 7.606, 9.208 Å; angles 90.00, 132.38, 90.00 degrees
Space group C2/c (No. 15)
One atom of each set of equivalent atoms:
1 Rb 0.000 0.125 0.250 [4 per cell]
2 Ag 0.198 0.374 0.750 [8 per cell]
3 Sn 0.111 0.375 0.973 [8 per cell]